Diffraction record for CrHSe3O8. The powder XRD pattern is theoretical, not measured: it uses a GGA+U-relaxed structure and Cu Kα (λ = 1.5418 Å).
Peak positions follow from Bragg's law for the DFT cell and can differ from measured ones.

Largest 10 diffraction maxima, in order of falling intensity, 2θ = 10–80°:
| d (Å) | I/Imax | h k l |
| --- | --- | --- |
| 3.876 | 100 | 0 3 1 |
| 5.152 | 50 | 0 2 1 |
| 4.145 | 42 | 0 0 2 |
| 2.920 | 36 | 2 2 -3 |
| 3.513 | 34 | 2 1 -2 |
| 3.043 | 30 | 2 2 -1 |
| 4.126 | 29 | 1 2 -2 |
| 2.704 | 28 | 0 1 3 |
| 2.844 | 26 | 2 0 0 |
| 3.579 | 25 | 1 1 1 |

Cell and atoms:
a = 7.323 Å, b = 13.152 Å, c = 10.684 Å
α = 90.00°, β = 129.11°, γ = 90.00°
Fractional positions:
Cr  0.231  0.174  0.130
Cr  0.231  0.326  0.630
Cr  0.769  0.674  0.370
Cr  0.769  0.826  0.870
H  0.202  0.153  0.873
H  0.202  0.347  0.373
H  0.798  0.653  0.627
H  0.798  0.847  0.127
Se  0.133  0.533  0.377
Se  0.133  0.967  0.877
Se  0.182  0.660  0.022
Se  0.182  0.840  0.522
Se  0.393  0.148  0.479
Se  0.393  0.352  0.979
Se  0.607  0.648  0.021
Se  0.607  0.852  0.521
Se  0.818  0.160  0.478
Se  0.818  0.340  0.978
Se  0.867  0.033  0.123
Se  0.867  0.467  0.623
O  0.053  0.521  0.194
O  0.053  0.979  0.694
O  0.109  0.719  0.535
O  0.109  0.781  0.035
O  0.135  0.041  0.163
O  0.135  0.459  0.663
O  0.215  0.105  0.951
O  0.215  0.395  0.451
O  0.244  0.231  0.314
O  0.244  0.269  0.814
O  0.306  0.696  0.918
O  0.306  0.804  0.418
O  0.342  0.195  0.601
O  0.342  0.305  0.101
O  0.434  0.626  0.205
O  0.434  0.874  0.705
O  0.566  0.126  0.295
O  0.566  0.374  0.795
O  0.658  0.695  0.899
O  0.658  0.805  0.399
O  0.694  0.196  0.582
O  0.694  0.304  0.082
O  0.756  0.731  0.186
O  0.756  0.769  0.686
O  0.785  0.605  0.549
O  0.785  0.895  0.049
O  0.865  0.541  0.337
O  0.865  0.959  0.837
O  0.891  0.219  0.965
O  0.891  0.281  0.465
O  0.947  0.021  0.306
O  0.947  0.479  0.806